(1)
Diffraction record for Ba10Re6CO30. The powder XRD pattern is theoretical, not measured: it uses a structure optimized by DFT (GGA-PBE) and CuKα.

Principal peaks in the range 15° ≤ 2θ ≤ 90°, in order of rising 2θ:
(2 -1 1), d 4.548, intensity 261; (0 0 2), d 3.962, intensity 338; (2 1 1), d 3.305, intensity 1000; (1 1 2), d 3.225, intensity 997; (3 0 0), d 3.207, intensity 937; (4 -1 1), d 2.529, intensity 345; (4 -2 2), d 2.274, intensity 289; (3 -1 3), d 2.137, intensity 266; (4 2 1), d 1.772, intensity 260; (5 0 2), d 1.730, intensity 230

Structure:
```
data_Ba10Re6CO30
_space_group_name_H-M_alt 'P 3 1 m'
_space_group_IT_number 157
_cell_length_a 11.1080
_cell_length_b 11.1080
_cell_length_c 7.9234
_cell_angle_alpha 90.00
_cell_angle_beta 90.00
_cell_angle_gamma 120.00
loop_
_space_group_symop_operation_xyz
'x,y,z'
'-y,x-y,z'
'-x+y,-x,z'
'y,x,z'
'x-y,-y,z'
'-x,-x+y,z'
loop_
_atom_site_label
_atom_site_fract_x
_atom_site_fract_y
_atom_site_fract_z
Ba1 0.0000 0.2690 0.0000
Ba2 0.0000 0.7314 0.4835
Ba3 0.3333 0.6667 0.2493
Ba4 0.3333 0.6667 0.7494
Re1 0.0000 0.3884 0.5442
Re2 0.0000 0.6118 0.0423
C1 0.0000 0.0000 0.2415
O1 0.0000 0.2933 0.3660
O2 0.0000 0.7100 0.8669
O3 0.1306 0.5552 0.0041
O4 0.1309 0.5753 0.5052
O5 0.1316 0.3853 0.6859
O6 0.1321 0.7442 0.1862
```

(2)
Diffraction record for HfMg. The powder XRD pattern is theoretical, not measured: it uses a structure optimized by DFT (GGA-PBE) and CuKα.

Principal peaks in the range 15° ≤ 2θ ≤ 90°, in order of rising 2θ:
(1 1 1), d 3.305, intensity 1000; (2 0 0), d 2.862, intensity 939; (2 2 0), d 2.024, intensity 701; (3 1 1), d 1.726, intensity 481; (2 2 2), d 1.653, intensity 247; (4 0 0), d 1.431, intensity 115; (3 3 1), d 1.313, intensity 198; (4 2 0), d 1.280, intensity 316; (4 2 2), d 1.169, intensity 238; (5 1 1), d 1.102, intensity 161

Structure:
```
data_HfMg
_space_group_name_H-M_alt 'F m -3 m'
_space_group_IT_number 225
_space_group_name_Hall '-F 4 2 3'
_cell_length_a 5.7246
_cell_length_b 5.7246
_cell_length_c 5.7246
_cell_angle_alpha 90.00
_cell_angle_beta 90.00
_cell_angle_gamma 90.00
loop_
_atom_site_label
_atom_site_fract_x
_atom_site_fract_y
_atom_site_fract_z
Hf1 0.0000 0.0000 0.0000
Mg1 0.0000 0.0000 0.5000
```

(3)
Diffraction record for PmTmAl2. The powder XRD pattern is theoretical, not measured: it uses a structure optimized by DFT (GGA-PBE) and CuKα.

Principal peaks in the range 15° ≤ 2θ ≤ 90°, in order of rising 2θ:
(2 0 0), d 3.629, intensity 613; (2 2 0), d 2.566, intensity 1000; (2 2 2), d 2.095, intensity 187; (4 0 0), d 1.814, intensity 178; (4 2 0), d 1.623, intensity 253; (4 2 2), d 1.481, intensity 367; (4 4 0), d 1.283, intensity 114; (6 0 0), d 1.210, intensity 120; (6 2 0), d 1.148, intensity 162; (6 2 2), d 1.094, intensity 75

Structure:
```
data_PmTmAl2
_space_group_name_H-M_alt 'F m -3 m'
_space_group_IT_number 225
_space_group_name_Hall '-F 4 2 3'
_cell_length_a 7.2577
_cell_length_b 7.2577
_cell_length_c 7.2577
_cell_angle_alpha 90.00
_cell_angle_beta 90.00
_cell_angle_gamma 90.00
loop_
_atom_site_label
_atom_site_fract_x
_atom_site_fract_y
_atom_site_fract_z
Pm1 0.0000 0.0000 0.0000
Tm1 0.0000 0.0000 0.5000
Al1 0.2500 0.2500 0.2500
```

(4)
Diffraction record for W. The powder XRD pattern is theoretical, not measured: it uses a structure optimized by DFT (GGA-PBE) and CuKα.

Principal peaks in the range 15° ≤ 2θ ≤ 90°, in order of rising 2θ:
(2 0 0), d 2.544, intensity 342; (2 1 0), d 2.276, intensity 1000; (2 1 1), d 2.078, intensity 766; (2 2 2), d 1.469, intensity 85; (3 2 0), d 1.411, intensity 224; (3 2 1), d 1.360, intensity 396; (4 0 0), d 1.272, intensity 159; (4 2 0), d 1.138, intensity 115; (4 2 1), d 1.110, intensity 217

Structure:
```
data_W
_space_group_name_H-M_alt 'P m -3 n'
_space_group_IT_number 223
_space_group_name_Hall '-P 4n 2 3'
_cell_length_a 5.0889
_cell_length_b 5.0889
_cell_length_c 5.0889
_cell_angle_alpha 90.00
_cell_angle_beta 90.00
_cell_angle_gamma 90.00
loop_
_atom_site_label
_atom_site_fract_x
_atom_site_fract_y
_atom_site_fract_z
W1 0.0000 0.0000 0.0000
W2 0.0000 0.2500 0.5000
```

(5)
Diffraction record for Mg6NbCdO8. The powder XRD pattern is theoretical, not measured: it uses a structure optimized by DFT (GGA-PBE) and CuKα.

Principal peaks in the range 15° ≤ 2θ ≤ 90°, in order of rising 2θ:
(0 0 2), d 4.399, intensity 330; (1 1 0), d 3.143, intensity 277; (1 1 1), d 2.960, intensity 478; (1 1 2), d 2.557, intensity 669; (2 0 0), d 2.223, intensity 1000; (0 0 4), d 2.199, intensity 465; (2 2 0), d 1.572, intensity 299; (2 0 4), d 1.563, intensity 566; (3 1 2), d 1.339, intensity 210; (2 2 4), d 1.279, intensity 266

Structure:
```
data_Mg6NbCdO8
_space_group_name_H-M_alt 'P 4/m m m'
_space_group_IT_number 123
_space_group_name_Hall '-P 4 2'
_cell_length_a 4.4452
_cell_length_b 4.4452
_cell_length_c 8.7980
_cell_angle_alpha 90.00
_cell_angle_beta 90.00
_cell_angle_gamma 90.00
loop_
_atom_site_label
_atom_site_fract_x
_atom_site_fract_y
_atom_site_fract_z
Mg1 0.0000 0.0000 0.0000
Mg2 0.0000 0.5000 0.2382
Mg3 0.5000 0.5000 0.0000
Nb1 0.0000 0.0000 0.5000
Cd1 0.5000 0.5000 0.5000
O1 0.0000 0.0000 0.2392
O2 0.0000 0.5000 0.0000
O3 0.0000 0.5000 0.5000
O4 0.5000 0.5000 0.2305
```

(6)
Diffraction record for CoTeSe. The powder XRD pattern is theoretical, not measured: it uses a structure optimized by DFT (GGA-PBE) and CuKα.

Principal peaks in the range 15° ≤ 2θ ≤ 90°, in order of rising 2θ:
(0 0 1), d 5.424, intensity 185; (1 0 1), d 2.723, intensity 1000; (0 0 2), d 2.712, intensity 97; (1 0 2), d 2.055, intensity 350; (1 1 0), d 1.817, intensity 299; (0 1 3), d 1.568, intensity 185; (0 2 1), d 1.511, intensity 260; (0 2 2), d 1.361, intensity 88; (2 0 3), d 1.187, intensity 73; (2 1 1), d 1.162, intensity 136

Structure:
```
data_CoTeSe
_space_group_name_H-M_alt 'P 3 m 1'
_space_group_IT_number 156
_cell_length_a 3.6349
_cell_length_b 3.6349
_cell_length_c 5.4239
_cell_angle_alpha 90.00
_cell_angle_beta 90.00
_cell_angle_gamma 120.00
loop_
_space_group_symop_operation_xyz
'x,y,z'
'-y,x-y,z'
'-x+y,-x,z'
'-y,-x,z'
'-x+y,y,z'
'x,x-y,z'
loop_
_atom_site_label
_atom_site_fract_x
_atom_site_fract_y
_atom_site_fract_z
Co1 0.0000 0.0000 0.0000
Te1 0.6667 0.3333 0.2663
Se1 0.3333 0.6667 0.7883
```

(7)
Diffraction record for Ba2CeSnO6. The powder XRD pattern is theoretical, not measured: it uses a structure optimized by DFT (GGA-PBE) and CuKα.

Principal peaks in the range 15° ≤ 2θ ≤ 90°, in order of rising 2θ:
(2 0 0), d 4.329, intensity 6; (2 2 0), d 3.061, intensity 1000; (2 2 2), d 2.500, intensity 16; (4 0 0), d 2.165, intensity 302; (4 2 2), d 1.768, intensity 415; (4 4 0), d 1.531, intensity 192; (6 2 0), d 1.369, intensity 185; (4 4 4), d 1.250, intensity 64; (6 4 2), d 1.157, intensity 222

Structure:
```
data_Ba2CeSnO6
_space_group_name_H-M_alt 'F m -3 m'
_space_group_IT_number 225
_space_group_name_Hall '-F 4 2 3'
_cell_length_a 8.6590
_cell_length_b 8.6590
_cell_length_c 8.6590
_cell_angle_alpha 90.00
_cell_angle_beta 90.00
_cell_angle_gamma 90.00
loop_
_atom_site_label
_atom_site_fract_x
_atom_site_fract_y
_atom_site_fract_z
Ba1 0.2500 0.2500 0.2500
Ce1 0.0000 0.0000 0.0000
Sn1 0.0000 0.0000 0.5000
O1 0.0000 0.0000 0.2579
```

(8)
Diffraction record for LaF3. The powder XRD pattern is theoretical, not measured: it uses a structure optimized by DFT (GGA-PBE) and CuKα.

Principal peaks in the range 15° ≤ 2θ ≤ 90°, in order of rising 2θ:
(0 0 2), d 3.695, intensity 375; (1 1 0), d 3.623, intensity 270; (1 1 1), d 3.253, intensity 1000; (3 0 0), d 2.092, intensity 449; (1 1 3), d 2.037, intensity 550; (0 3 2), d 1.820, intensity 333; (2 2 1), d 1.760, intensity 189; (2 2 3), d 1.459, intensity 154; (4 1 1), d 1.347, intensity 162; (1 4 3), d 1.197, intensity 144

Structure:
```
data_LaF3
_space_group_name_H-M_alt 'P -3 c 1'
_space_group_IT_number 165
_space_group_name_Hall '-P 3 2"c'
_cell_length_a 7.2465
_cell_length_b 7.2465
_cell_length_c 7.3909
_cell_angle_alpha 90.00
_cell_angle_beta 90.00
_cell_angle_gamma 120.00
loop_
_atom_site_label
_atom_site_fract_x
_atom_site_fract_y
_atom_site_fract_z
La1 0.0000 0.3427 0.2500
F1 0.0000 0.0000 0.2500
F2 0.0608 0.3703 0.5799
F3 0.3333 0.6667 0.3149
```